Starting from a DFT-relaxed cell (GGA+U, Alexandria), the powder diffractogram of V2CoP2H8O14 was simulated for λ = 1.5418 Å (Cu Kα).
Intensities are scaled so that the largest is 1000.

Cell and atoms:
Unit cell a=6.348 b=6.348 c=13.461 alpha=90.00 beta=90.00 gamma=90.00
Space group I4/m (No. 87)
Symmetry-distinct sites (fractional):
1 V 0.000 0.000 0.222
2 Co 0.000 0.000 0.500
3 P 0.000 0.500 0.250
4 H 0.141 0.673 0.060
5 O 0.000 0.000 0.344
6 O 0.023 0.695 0.181
7 O 0.182 0.270 0.500

Most intense lines, 2θ from 10° to 90°, by angle:
two_theta	I/Imax
13.2	955
15.4	482
24.3	1000
26.5	585
28.1	873
31.2	905
32.2	536
40.2	372
45.2	368
48.8	415